[1]
Na4Zn3S5: computed XRD peak list (CuKα), based on a cell relaxed with PBE.

Main lines, in order of rising 2θ (2θ from 10° to 80°):
- 2θ 11.53, d = 7.675 Å, I 100
- 2θ 23.15, d = 3.842 Å, I 65
- 2θ 26.74, d = 3.334 Å, I 38
- 2θ 30.03, d = 2.975 Å, I 99
- 2θ 34.33, d = 2.612 Å, I 54
- 2θ 40.56, d = 2.224 Å, I 39
- 2θ 45.67, d = 1.987 Å, I 39
- 2θ 46.18, d = 1.966 Å, I 62

Cell and atoms:
```
Na4Zn3S5
1.0
13.1888 0.0000 0.0000
0.0000 3.9314 0.0000
0.0000 0.0000 18.8750
Na Zn S
16 12 20
direct
0.0023 0.2500 0.2352 Na
0.0075 0.7500 0.4172 Na
0.1094 0.7500 0.9506 Na
0.2268 0.2500 0.3338 Na
0.2732 0.7500 0.8338 Na
0.3906 0.2500 0.4506 Na
0.4925 0.2500 0.9172 Na
0.4977 0.7500 0.7352 Na
0.5023 0.2500 0.2648 Na
0.5075 0.7500 0.0828 Na
0.6094 0.7500 0.5494 Na
0.7268 0.2500 0.1662 Na
0.7732 0.7500 0.6662 Na
0.8906 0.2500 0.0494 Na
0.9925 0.2500 0.5828 Na
0.9977 0.7500 0.7648 Na
0.0759 0.7500 0.1312 Zn
0.1807 0.2500 0.7170 Zn
0.2093 0.7500 0.5410 Zn
0.2907 0.2500 0.0410 Zn
0.3193 0.7500 0.2170 Zn
0.4241 0.2500 0.6312 Zn
0.5759 0.7500 0.3688 Zn
0.6807 0.2500 0.7830 Zn
0.7093 0.7500 0.9590 Zn
0.7907 0.2500 0.4590 Zn
0.8193 0.7500 0.2830 Zn
0.9241 0.2500 0.8688 Zn
0.1069 0.2500 0.8385 S
0.1117 0.2500 0.0633 S
0.1251 0.7500 0.6533 S
0.1483 0.7500 0.2452 S
0.1573 0.2500 0.4774 S
0.3427 0.7500 0.9774 S
0.3517 0.2500 0.7452 S
0.3749 0.2500 0.1533 S
0.3883 0.7500 0.5633 S
0.3931 0.7500 0.3385 S
0.6069 0.2500 0.6615 S
0.6117 0.2500 0.4367 S
0.6251 0.7500 0.8467 S
0.6483 0.7500 0.2548 S
0.6573 0.2500 0.0226 S
0.8427 0.7500 0.5226 S
0.8517 0.2500 0.7548 S
0.8749 0.2500 0.3467 S
0.8883 0.7500 0.9367 S
0.8931 0.7500 0.1615 S
```

***

[2]
Li3C: computed XRD peak list (CuKα), based on a cell relaxed with PBE.

Main lines, in order of rising 2θ (2θ from 10° to 80°):
- 2θ 29.30, d = 3.048 Å, I 18
- 2θ 33.96, d = 2.640 Å, I 8
- 2θ 48.78, d = 1.867 Å, I 100
- 2θ 57.93, d = 1.592 Å, I 2
- 2θ 71.47, d = 1.320 Å, I 14
- 2θ 79.05, d = 1.211 Å, I 1

Cell and atoms:
```
Li3C
1.0
0.0000 2.6399 2.6399
2.6399 0.0000 2.6399
2.6399 2.6399 0.0000
Li C
3 1
direct
0.0000 0.0000 0.0000 Li
0.2500 0.2500 0.2500 Li
0.7500 0.7500 0.7500 Li
0.5000 0.5000 0.5000 C
```

***

[3]
ZrNbFe4: computed XRD peak list (CuKα), based on a cell relaxed with PBE.

Main lines, in order of rising 2θ (2θ from 10° to 80°):
- 2θ 36.49, d = 2.462 Å, I 45
- 2θ 39.70, d = 2.270 Å, I 80
- 2θ 43.07, d = 2.100 Å, I 100
- 2θ 43.93, d = 2.061 Å, I 67
- 2θ 67.83, d = 1.382 Å, I 30
- 2θ 70.22, d = 1.340 Å, I 25
- 2θ 73.76, d = 1.285 Å, I 27
- 2θ 77.54, d = 1.231 Å, I 22

Cell and atoms:
```
ZrNbFe4
1.0
4.9244 0.0000 0.0000
-2.4622 4.2647 0.0000
0.0000 0.0000 8.0465
Zr Nb Fe
2 2 8
direct
0.3333 0.6667 0.0666 Zr
0.6667 0.3333 0.9334 Zr
0.3333 0.6667 0.4442 Nb
0.6667 0.3333 0.5558 Nb
0.0000 0.0000 0.0000 Fe
0.0000 0.0000 0.5000 Fe
0.1679 0.3358 0.7446 Fe
0.1679 0.8321 0.7446 Fe
0.3358 0.1679 0.2554 Fe
0.6642 0.8321 0.7446 Fe
0.8321 0.1679 0.2554 Fe
0.8321 0.6642 0.2554 Fe
```

***

[4]
SiO2: computed XRD peak list (CuKα), based on a cell relaxed with PBE.

Main lines, in order of rising 2θ (2θ from 10° to 80°):
- 2θ 14.32, d = 6.186 Å, I 70
- 2θ 17.04, d = 5.203 Å, I 100
- 2θ 17.27, d = 5.133 Å, I 65
- 2θ 18.07, d = 4.909 Å, I 86
- 2θ 21.96, d = 4.048 Å, I 36
- 2θ 22.69, d = 3.919 Å, I 65
- 2θ 23.05, d = 3.859 Å, I 38
- 2θ 24.00, d = 3.708 Å, I 58

Cell and atoms:
```
SiO2
1.0
5.1776 0.0000 0.0000
-0.6779 5.5487 0.0000
-0.0233 -2.2909 6.1856
Si O
4 8
direct
0.0000 0.0000 0.0000 Si
0.1101 0.4169 0.4345 Si
0.4786 0.8362 0.6917 Si
0.8517 0.8933 0.4013 Si
0.1053 0.2878 0.1702 O
0.2403 0.9350 0.8437 O
0.3896 0.5238 0.5750 O
0.5469 0.9127 0.4739 O
0.7360 0.9632 0.8530 O
0.9127 0.8182 0.1451 O
0.9500 0.6651 0.4743 O
0.9904 0.1896 0.5240 O
```

***

[5]
K2HgAsF6: computed XRD peak list (CuKα), based on a cell relaxed with PBE.

Main lines, in order of rising 2θ (2θ from 10° to 80°):
- 2θ 19.10, d = 4.647 Å, I 61
- 2θ 27.14, d = 3.286 Å, I 100
- 2θ 38.75, d = 2.324 Å, I 39
- 2θ 43.55, d = 2.078 Å, I 27
- 2θ 47.95, d = 1.897 Å, I 39
- 2θ 55.96, d = 1.643 Å, I 23
- 2θ 63.28, d = 1.470 Å, I 21
- 2θ 76.73, d = 1.242 Å, I 22

Cell and atoms:
```
K2HgAsF6
1.0
0.0000 4.6473 4.6473
4.6473 0.0000 4.6473
4.6473 4.6473 0.0000
K Hg As F
2 1 1 6
direct
0.2500 0.2500 0.2500 K
0.7500 0.7500 0.7500 K
0.0000 0.0000 0.0000 Hg
0.5000 0.5000 0.5000 As
0.2843 0.2843 0.7157 F
0.2843 0.7157 0.2843 F
0.2843 0.7157 0.7157 F
0.7157 0.2843 0.2843 F
0.7157 0.2843 0.7157 F
0.7157 0.7157 0.2843 F
```

***

[6]
UGeIr: computed XRD peak list (CuKα), based on a cell relaxed with PBE.

Main lines, in order of rising 2θ (2θ from 10° to 80°):
- 2θ 27.00, d = 3.303 Å, I 20
- 2θ 33.78, d = 2.653 Å, I 33
- 2θ 35.57, d = 2.524 Å, I 40
- 2θ 35.80, d = 2.508 Å, I 100
- 2θ 40.71, d = 2.216 Å, I 52
- 2θ 41.34, d = 2.184 Å, I 37
- 2θ 55.65, d = 1.651 Å, I 23
- 2θ 70.63, d = 1.334 Å, I 17

Cell and atoms:
```
UGeIr
1.0
6.6756 0.0000 0.0000
0.0000 4.3675 0.0000
0.0000 0.0000 7.7154
U Ge Ir
4 4 4
direct
0.0082 0.2500 0.2032 U
0.4918 0.7500 0.7032 U
0.5082 0.2500 0.2968 U
0.9918 0.7500 0.7968 U
0.1806 0.2500 0.5844 Ge
0.3194 0.7500 0.0844 Ge
0.6806 0.2500 0.9156 Ge
0.8194 0.7500 0.4156 Ge
0.2287 0.7500 0.4141 Ir
0.2713 0.2500 0.9141 Ir
0.7287 0.7500 0.0859 Ir
0.7713 0.2500 0.5859 Ir
```

***

[7]
SrLiTa2O6F: computed XRD peak list (CuKα), based on a cell relaxed with PBE.

Main lines, in order of rising 2θ (2θ from 10° to 80°):
- 2θ 14.46, d = 6.124 Å, I 86
- 2θ 28.10, d = 3.176 Å, I 65
- 2θ 29.16, d = 3.062 Å, I 100
- 2θ 29.45, d = 3.033 Å, I 93
- 2θ 33.93, d = 2.642 Å, I 42
- 2θ 48.82, d = 1.865 Å, I 59
- 2θ 57.65, d = 1.599 Å, I 29
- 2θ 58.13, d = 1.587 Å, I 44

Cell and atoms:
```
SrLiTa2O6F
1.0
-3.7103 3.7632 5.2678
3.7103 -3.7632 5.2678
3.7103 3.7632 -5.2678
Sr Li Ta O F
2 2 4 12 2
direct
0.0000 0.0000 0.0000 Sr
0.5000 0.0000 0.5000 Sr
0.5000 0.0000 0.0000 Li
0.5000 0.5000 0.5000 Li
0.0000 0.0000 0.5000 Ta
0.0000 0.5000 0.0000 Ta
0.0000 0.5000 0.5000 Ta
0.5000 0.5000 0.0000 Ta
0.0635 0.4305 0.2454 O
0.0635 0.8181 0.6330 O
0.0711 0.8211 0.2500 O
0.3114 0.5614 0.7500 O
0.3148 0.1819 0.7454 O
0.3148 0.5695 0.1330 O
0.6852 0.4305 0.8670 O
0.6852 0.8181 0.2546 O
0.6886 0.4386 0.2500 O
0.9289 0.1789 0.7500 O
0.9365 0.1819 0.3670 O
0.9365 0.5695 0.7546 O
0.3994 0.1494 0.2500 F
0.6006 0.8506 0.7500 F
```

***

[8]
Nb4NiSe8: computed XRD peak list (CuKα), based on a cell relaxed with PBE.

Main lines, in order of rising 2θ (2θ from 10° to 80°):
- 2θ 14.03, d = 6.314 Å, I 28
- 2θ 30.40, d = 2.940 Å, I 56
- 2θ 32.85, d = 2.727 Å, I 41
- 2θ 36.60, d = 2.455 Å, I 50
- 2θ 41.35, d = 2.183 Å, I 100
- 2θ 52.43, d = 1.745 Å, I 50
- 2θ 59.69, d = 1.549 Å, I 15
- 2θ 68.87, d = 1.363 Å, I 21

Cell and atoms:
```
Nb4NiSe8
1.0
6.9812 0.0000 0.0000
-3.4906 6.0459 0.0000
0.0000 0.0000 12.6281
Nb Ni Se
8 2 16
direct
0.0000 0.0000 0.2500 Nb
0.0000 0.0000 0.7500 Nb
0.0150 0.5075 0.2500 Nb
0.4925 0.5075 0.2500 Nb
0.4925 0.9850 0.2500 Nb
0.5075 0.0150 0.7500 Nb
0.5075 0.4925 0.7500 Nb
0.9850 0.4925 0.7500 Nb
0.0000 0.0000 0.0000 Ni
0.0000 0.0000 0.5000 Ni
0.1680 0.3360 0.6180 Se
0.1680 0.3360 0.8820 Se
0.1680 0.8320 0.6180 Se
0.1680 0.8320 0.8820 Se
0.3333 0.6667 0.1117 Se
0.3333 0.6667 0.3883 Se
0.3360 0.1680 0.1180 Se
0.3360 0.1680 0.3820 Se
0.6640 0.8320 0.6180 Se
0.6640 0.8320 0.8820 Se
0.6667 0.3333 0.6117 Se
0.6667 0.3333 0.8883 Se
0.8320 0.1680 0.1180 Se
0.8320 0.1680 0.3820 Se
0.8320 0.6640 0.1180 Se
0.8320 0.6640 0.3820 Se
```

***

[9]
ZrS2O8: computed XRD peak list (CuKα), based on a cell relaxed with PBE.

Main lines, in order of rising 2θ (2θ from 10° to 80°):
- 2θ 18.86, d = 4.705 Å, I 50
- 2θ 20.56, d = 4.320 Å, I 40
- 2θ 24.81, d = 3.588 Å, I 78
- 2θ 25.92, d = 3.437 Å, I 36
- 2θ 27.17, d = 3.282 Å, I 100
- 2θ 28.89, d = 3.091 Å, I 63
- 2θ 32.27, d = 2.774 Å, I 43
- 2θ 35.57, d = 2.524 Å, I 41

Cell and atoms:
```
ZrS2O8
1.0
8.7444 0.0000 0.0000
0.0000 5.5478 0.0000
0.0000 0.0000 11.1645
Zr S O
4 8 32
direct
0.2444 0.2500 0.1003 Zr
0.2556 0.7500 0.6003 Zr
0.7444 0.2500 0.3997 Zr
0.7556 0.7500 0.8997 Zr
0.0040 0.7500 0.1536 S
0.1458 0.2500 0.4061 S
0.3542 0.7500 0.9061 S
0.4960 0.2500 0.6536 S
0.5040 0.7500 0.3464 S
0.6458 0.2500 0.0939 S
0.8542 0.7500 0.5939 S
0.9960 0.2500 0.8464 S
0.0140 0.7500 0.6412 O
0.0688 0.2500 0.9669 O
0.1020 0.2500 0.7486 O
0.1078 0.5352 0.1589 O
0.1078 0.9648 0.1589 O
0.1674 0.0312 0.4800 O
0.1674 0.4688 0.4800 O
0.2438 0.7500 0.8058 O
0.2562 0.2500 0.3058 O
0.3326 0.5312 0.9800 O
0.3326 0.9688 0.9800 O
0.3922 0.0352 0.6589 O
0.3922 0.4648 0.6589 O
0.3980 0.7500 0.2486 O
0.4312 0.7500 0.4669 O
0.4860 0.2500 0.1412 O
0.5140 0.7500 0.8588 O
0.5688 0.2500 0.5331 O
0.6020 0.2500 0.7514 O
0.6078 0.5352 0.3411 O
0.6078 0.9648 0.3411 O
0.6674 0.0312 0.0200 O
0.6674 0.4688 0.0200 O
0.7438 0.7500 0.6942 O
0.7562 0.2500 0.1942 O
0.8326 0.5312 0.5200 O
0.8326 0.9688 0.5200 O
0.8922 0.0352 0.8411 O
0.8922 0.4648 0.8411 O
0.8980 0.7500 0.2514 O
0.9312 0.7500 0.0331 O
0.9860 0.2500 0.3588 O
```

***

[10]
Mg14VCr: computed XRD peak list (CuKα), based on a cell relaxed with PBE.

Main lines, in order of rising 2θ (2θ from 10° to 80°):
- 2θ 32.85, d = 2.726 Å, I 25
- 2θ 35.48, d = 2.530 Å, I 26
- 2θ 37.47, d = 2.400 Å, I 100
- 2θ 49.13, d = 1.854 Å, I 15
- 2θ 58.65, d = 1.574 Å, I 17
- 2θ 65.02, d = 1.434 Å, I 18
- 2θ 70.46, d = 1.336 Å, I 18
- 2θ 71.71, d = 1.316 Å, I 13

Cell and atoms:
```
Mg14VCr
1.0
6.2959 0.0000 0.0000
-3.1480 5.4524 0.0000
0.0000 0.0000 10.1202
Mg V Cr
14 1 1
direct
0.0000 0.0000 0.2503 Mg
0.0000 0.0000 0.7497 Mg
0.0085 0.5043 0.2505 Mg
0.0085 0.5043 0.7495 Mg
0.3346 0.1673 0.0000 Mg
0.3355 0.1677 0.5000 Mg
0.4957 0.5043 0.2505 Mg
0.4957 0.5043 0.7495 Mg
0.4957 0.9915 0.2505 Mg
0.4957 0.9915 0.7495 Mg
0.8323 0.1677 0.5000 Mg
0.8323 0.6645 0.5000 Mg
0.8327 0.1673 0.0000 Mg
0.8327 0.6654 0.0000 Mg
0.3333 0.6667 0.5000 V
0.3333 0.6667 0.0000 Cr
```

***

[11]
Ge2TeSe: computed XRD peak list (CuKα), based on a cell relaxed with PBE.

Main lines, in order of rising 2θ (2θ from 10° to 80°):
- 2θ 25.35, d = 3.514 Å, I 3
- 2θ 26.50, d = 3.364 Å, I 5
- 2θ 30.69, d = 2.913 Å, I 100
- 2θ 33.53, d = 2.673 Å, I 3
- 2θ 43.96, d = 2.060 Å, I 73
- 2θ 54.57, d = 1.682 Å, I 25
- 2θ 63.92, d = 1.456 Å, I 12
- 2θ 72.57, d = 1.303 Å, I 32

Cell and atoms:
```
Ge2TeSe
1.0
2.0604 1.1895 6.7234
-2.0604 1.1895 6.7234
0.0000 -2.3791 6.7234
Ge Te Se
2 1 1
direct
0.2451 0.2451 0.2451 Ge
0.7549 0.7549 0.7549 Ge
0.0000 0.0000 0.0000 Te
0.5000 0.5000 0.5000 Se
```